This entry pairs a crystal structure of ZnGa2Au7 with its computed powder diffraction line list. Radiation: Cu Kα, 1.54184 Å. Structure: a crystal structure in Alexandria, relaxed with PBE.

Main lines, low angle first (10 to 80 degrees two-theta):
(5 1 -1), 31.9 deg, d = 2.803 Å, I 36; (2 2 1), 34.1 deg, d = 2.630 Å, I 25; (4 2 0), 36.7 deg, d = 2.447 Å, I 50; (2 2 -2), 37.4 deg, d = 2.407 Å, I 48; (6 0 -2), 37.5 deg, d = 2.399 Å, I 53; (0 2 2), 37.7 deg, d = 2.387 Å, I 53; (4 0 2), 39.1 deg, d = 2.303 Å, I 100; (1 3 -1), 44.2 deg, d = 2.050 Å, I 32; (6 2 0), 45.7 deg, d = 1.984 Å, I 39; (7 3 -3), 66.2 deg, d = 1.412 Å, I 20

Atomic structure:
a b c (Å): 15.771 6.407 7.446
angles (deg): 90.00 105.99 90.00
Space group C2/c (No. 15)
Asymmetric unit:
1 Zn 0.000 0.043 0.250
2 Ga 0.187 0.490 0.319
3 Au 0.000 0.451 0.250
4 Au 0.087 0.219 0.589
5 Au 0.108 0.257 0.009
6 Au 0.197 0.070 0.362